Structure and simulated powder diffractogram of Rb2TlRuF6 (DFT lattice parameters and positions (PBE); Cu Kα (weighted mean of Kα1 and Kα2)).

Structure:
Lattice parameters (Å, degrees): 6.5916 6.5916 6.5916 60.00 60.00 60.00
Element x y z (fractional)
Rb 0.2500 0.2500 0.2500
Rb 0.7500 0.7500 0.7500
Tl 0.0000 0.0000 0.0000
Ru 0.5000 0.5000 0.5000
F 0.2822 0.2822 0.7178
F 0.2822 0.7178 0.2822
F 0.2822 0.7178 0.7178
F 0.7178 0.2822 0.2822
F 0.7178 0.2822 0.7178
F 0.7178 0.7178 0.2822

Peak list (10 most intense, 5° ≤ 2θ ≤ 70°, in order of rising 2θ)
two_theta, I/Imax
19.04, 18
27.05, 100
31.84, 7
38.63, 33
42.26, 5
43.41, 7
47.80, 41
55.79, 21
63.07, 20
69.91, 7

Structure and simulated powder diffractogram of Rb2SbF5 (DFT lattice parameters and positions (PBE); Cu Kα (weighted mean of Kα1 and Kα2)).

Structure:
Lattice parameters (Å, degrees): 8.5560 6.3921 12.5369 90.00 90.00 90.00
Element x y z (fractional)
Rb 0.0105 0.2500 0.2277
Rb 0.1526 0.2500 0.5749
Rb 0.3474 0.7500 0.0749
Rb 0.4895 0.7500 0.7277
Rb 0.5105 0.2500 0.2723
Rb 0.6526 0.2500 0.9251
Rb 0.8474 0.7500 0.4251
Rb 0.9895 0.7500 0.7723
Sb 0.1798 0.2500 0.9365
Sb 0.3202 0.7500 0.4365
Sb 0.6798 0.2500 0.5635
Sb 0.8202 0.7500 0.0635
F 0.0000 0.0000 0.0000
F 0.0000 0.5000 0.0000
F 0.0666 0.2500 0.7875
F 0.1699 0.5139 0.3830
F 0.1699 0.9861 0.3830
F 0.1940 0.7500 0.5994
F 0.3060 0.2500 0.0994
F 0.3301 0.0139 0.8830
F 0.3301 0.4861 0.8830
F 0.4334 0.7500 0.2875
F 0.5000 0.0000 0.5000
F 0.5000 0.5000 0.5000
F 0.5666 0.2500 0.7125
F 0.6699 0.5139 0.1170
F 0.6699 0.9861 0.1170
F 0.6940 0.7500 0.9006
F 0.8060 0.2500 0.4006
F 0.8301 0.0139 0.6170
F 0.8301 0.4861 0.6170
F 0.9334 0.7500 0.2125

Peak list (10 most intense, 5° ≤ 2θ ≤ 70°, in order of rising 2θ)
two_theta, I/Imax
18.72, 24
25.05, 60
25.20, 40
25.47, 100
26.05, 36
27.92, 50
29.89, 25
37.96, 40
41.36, 38
47.93, 19

Structure and simulated powder diffractogram of Rb3SbF12 (DFT lattice parameters and positions (PBE); Cu Kα (weighted mean of Kα1 and Kα2)).

Structure:
Lattice parameters (Å, degrees): 8.7499 8.7499 5.4712 104.25 104.25 123.39
Element x y z (fractional)
Rb 0.0000 0.0000 0.0000
Rb 0.0000 0.5000 0.5000
Rb 0.5000 0.0000 0.5000
Sb 0.5000 0.5000 0.5000
F 0.0046 0.6807 0.0687
F 0.2313 0.3872 0.4929
F 0.3007 0.4554 0.1118
F 0.3193 0.9954 0.9313
F 0.3872 0.2313 0.4929
F 0.4554 0.3007 0.1118
F 0.5446 0.6993 0.8882
F 0.6128 0.7687 0.5071
F 0.6807 0.0046 0.0687
F 0.6993 0.5446 0.8882
F 0.7687 0.6128 0.5071
F 0.9954 0.3193 0.9313

Peak list (10 most intense, 5° ≤ 2θ ≤ 70°, in order of rising 2θ)
two_theta, I/Imax
13.75, 25
17.40, 100
23.09, 33
23.91, 33
27.69, 76
30.06, 28
35.23, 35
38.51, 33
43.51, 27
45.39, 25